# 1
For Sm3InAu, a structure optimized by DFT (GGA-PBE) gives the simulated XRD peak list in this record (a wavelength of 1.5418 Å).

Unit cell a=8.249 b=8.249 c=11.288 alpha=92.17 beta=92.17 gamma=49.93
Fractional coordinates of all 20 atoms:
Sm1 0.150 0.741 0.918
Sm2 0.153 0.220 0.331
Sm3 0.220 0.153 0.831
Sm4 0.259 0.850 0.582
Sm5 0.348 0.417 0.162
Sm6 0.417 0.348 0.662
Sm7 0.583 0.652 0.338
Sm8 0.652 0.583 0.838
Sm9 0.741 0.150 0.418
Sm10 0.780 0.847 0.169
Sm11 0.847 0.780 0.669
Sm12 0.850 0.259 0.082
In1 0.135 0.610 0.419
In2 0.390 0.865 0.081
In3 0.610 0.135 0.919
In4 0.865 0.390 0.581
Au1 0.000 0.500 0.000
Au2 0.114 0.886 0.250
Au3 0.500 0.000 0.500
Au4 0.886 0.114 0.750

Main lines, low angle first (2θ from 10° to 90°):
d = 2.963 Å, I = 83
d = 2.804 Å, I = 70
d = 2.775 Å, I = 42
d = 2.746 Å, I = 54
d = 2.733 Å, I = 100
d = 2.692 Å, I = 39
d = 2.645 Å, I = 42
d = 2.602 Å, I = 37

# 2
For SrSmInAu, a structure optimized by DFT (GGA-PBE) gives the simulated XRD peak list in this record (a wavelength of 1.5418 Å).

Unit cell a=5.439 b=5.439 c=5.439 alpha=60.00 beta=60.00 gamma=60.00
Fractional coordinates of all 4 atoms:
Sr1 0.000 0.000 0.000
Sm1 0.500 0.500 0.500
In1 0.250 0.250 0.250
Au1 0.750 0.750 0.750

Main lines, low angle first (2θ from 10° to 90°):
d = 4.441 Å, I = 7
d = 2.720 Å, I = 100
d = 2.319 Å, I = 4
d = 1.923 Å, I = 18
d = 1.570 Å, I = 38
d = 1.360 Å, I = 12
d = 1.216 Å, I = 16
d = 1.110 Å, I = 4

# 3
For In2SnAu, a structure optimized by DFT (GGA-PBE) gives the simulated XRD peak list in this record (a wavelength of 1.5418 Å).

Unit cell a=6.505 b=6.505 c=6.505 alpha=40.62 beta=40.62 gamma=40.62
Fractional coordinates of all 4 atoms:
In1 0.000 0.000 0.000
In2 0.198 0.198 0.198
Sn1 0.767 0.767 0.767
Au1 0.601 0.601 0.601

Main lines, low angle first (2θ from 10° to 90°):
d = 5.960 Å, I = 19
d = 3.821 Å, I = 16
d = 3.583 Å, I = 48
d = 2.639 Å, I = 100
d = 2.258 Å, I = 77
d = 2.139 Å, I = 27
d = 1.716 Å, I = 27
d = 1.366 Å, I = 26

# 4
For In3Sn3Au4, a structure optimized by DFT (GGA-PBE) gives the simulated XRD peak list in this record (a wavelength of 1.5418 Å).

Unit cell a=4.611 b=4.611 c=13.361 alpha=90.00 beta=90.00 gamma=120.00
Fractional coordinates of all 10 atoms:
In1 0.000 0.000 0.000
In2 0.000 0.000 0.352
In3 0.333 0.667 0.858
Sn1 0.333 0.667 0.499
Sn2 0.667 0.333 0.175
Sn3 0.667 0.333 0.683
Au1 0.000 0.000 0.569
Au2 0.000 0.000 0.785
Au3 0.333 0.667 0.072
Au4 0.333 0.667 0.285

Main lines, low angle first (2θ from 10° to 90°):
d = 3.993 Å, I = 28
d = 3.826 Å, I = 41
d = 3.427 Å, I = 23
d = 2.562 Å, I = 51
d = 2.305 Å, I = 100
d = 2.221 Å, I = 76
d = 1.599 Å, I = 28
d = 1.314 Å, I = 29

# 5
For InSnAu, a structure optimized by DFT (GGA-PBE) gives the simulated XRD peak list in this record (a wavelength of 1.5418 Å).

Unit cell a=3.380 b=6.654 c=6.742 alpha=90.00 beta=90.00 gamma=90.00
Fractional coordinates of all 6 atoms:
In1 0.000 0.122 0.000
In2 0.500 0.878 0.500
Sn1 0.000 0.364 0.629
Sn2 0.500 0.636 0.129
Au1 0.000 0.743 0.810
Au2 0.500 0.257 0.310

Main lines, low angle first (2θ from 10° to 90°):
d = 4.736 Å, I = 55
d = 3.021 Å, I = 96
d = 2.984 Å, I = 52
d = 2.751 Å, I = 40
d = 2.247 Å, I = 100
d = 2.237 Å, I = 41
d = 2.129 Å, I = 55
d = 1.854 Å, I = 39

# 6
For In2SnAu7, a structure optimized by DFT (GGA-PBE) gives the simulated XRD peak list in this record (a wavelength of 1.5418 Å).

Unit cell a=8.615 b=8.615 c=4.145 alpha=90.00 beta=90.00 gamma=128.26
Fractional coordinates of all 10 atoms:
In1 0.191 0.809 0.000
In2 0.809 0.191 0.000
Sn1 0.500 0.500 0.500
Au1 0.000 0.000 0.000
Au2 0.212 0.408 0.000
Au3 0.305 0.695 0.500
Au4 0.408 0.212 0.000
Au5 0.592 0.788 0.000
Au6 0.695 0.305 0.500
Au7 0.788 0.592 0.000

Main lines, low angle first (2θ from 10° to 90°):
d = 4.145 Å, I = 36
d = 2.784 Å, I = 23
d = 2.698 Å, I = 37
d = 2.358 Å, I = 100
d = 2.129 Å, I = 32
d = 2.124 Å, I = 65
d = 2.072 Å, I = 35
d = 1.286 Å, I = 28

# 7
For InSn3Au2, a structure optimized by DFT (GGA-PBE) gives the simulated XRD peak list in this record (a wavelength of 1.5418 Å).

Unit cell a=8.214 b=8.214 c=8.214 alpha=130.98 beta=74.09 gamma=128.20
Fractional coordinates of all 12 atoms:
In1 0.000 0.000 0.000
In2 0.500 0.500 0.000
Sn1 0.022 0.250 0.772
Sn2 0.250 0.750 0.500
Sn3 0.478 0.250 0.228
Sn4 0.522 0.750 0.772
Sn5 0.750 0.250 0.500
Sn6 0.978 0.750 0.228
Au1 0.138 0.697 0.835
Au2 0.362 0.197 0.559
Au3 0.638 0.803 0.441
Au4 0.862 0.303 0.165

Main lines, low angle first (2θ from 10° to 90°):
d = 3.946 Å, I = 100
d = 2.569 Å, I = 50
d = 2.471 Å, I = 35
d = 2.420 Å, I = 36
d = 2.363 Å, I = 53
d = 2.134 Å, I = 20
d = 1.429 Å, I = 22
d = 1.341 Å, I = 25

# 8
For InSnAu, a structure optimized by DFT (GGA-PBE) gives the simulated XRD peak list in this record (a wavelength of 1.5418 Å).

Unit cell a=4.750 b=4.750 c=6.757 alpha=90.00 beta=90.00 gamma=90.00
Fractional coordinates of all 6 atoms:
In1 0.000 0.000 0.250
In2 0.000 0.000 0.750
Sn1 0.500 0.500 0.250
Sn2 0.500 0.500 0.750
Au1 0.000 0.500 0.000
Au2 0.500 0.000 0.500

Main lines, low angle first (2θ from 10° to 90°):
d = 3.886 Å, I = 73
d = 2.382 Å, I = 100
d = 2.375 Å, I = 50
d = 2.035 Å, I = 13
d = 2.026 Å, I = 26
d = 1.679 Å, I = 17
d = 1.377 Å, I = 18
d = 1.373 Å, I = 36